Simulated XRD peak list of NaFeRuO4 for Cu Kα, 1.54184 Å, from DFT lattice parameters and positions (GGA+U).
No peak broadening, texture or thermal motion is included.

Main lines, sorted by position (10° ≤ 2θ ≤ 90°):
2θ 12.36, I = 23
2θ 18.75, I = 90
2θ 32.64, I = 36
2θ 32.77, I = 69
2θ 35.53, I = 100
2θ 49.03, I = 27
2θ 49.16, I = 25
2θ 60.12, I = 18
2θ 60.29, I = 32
2θ 72.05, I = 22

Structure:
Unit cell a=9.453 b=2.986 c=10.975 alpha=90.00 beta=90.00 gamma=90.00
Fractional coordinates of all 28 atoms:
Na (0.239, 0.250, 0.151)
Na (0.261, 0.750, 0.651)
Na (0.739, 0.250, 0.349)
Na (0.761, 0.750, 0.849)
Fe (0.081, 0.250, 0.902)
Fe (0.419, 0.750, 0.402)
Fe (0.581, 0.250, 0.598)
Fe (0.919, 0.750, 0.098)
Ru (0.059, 0.250, 0.379)
Ru (0.441, 0.750, 0.879)
Ru (0.559, 0.250, 0.121)
Ru (0.941, 0.750, 0.621)
O (0.033, 0.750, 0.784)
O (0.077, 0.250, 0.561)
O (0.117, 0.750, 0.021)
O (0.196, 0.750, 0.346)
O (0.304, 0.250, 0.846)
O (0.383, 0.250, 0.521)
O (0.423, 0.750, 0.061)
O (0.467, 0.250, 0.284)
O (0.533, 0.750, 0.716)
O (0.577, 0.250, 0.939)
O (0.617, 0.750, 0.479)
O (0.696, 0.750, 0.154)
O (0.804, 0.250, 0.654)
O (0.883, 0.250, 0.979)
O (0.923, 0.750, 0.439)
O (0.967, 0.250, 0.216)

***

Simulated XRD peak list of VP4O12 for Cu Kα, 1.54184 Å, from DFT lattice parameters and positions (GGA+U).
No peak broadening, texture or thermal motion is included.

Main lines, sorted by position (10° ≤ 2θ ≤ 90°):
2θ 16.04, I = 64
2θ 16.72, I = 75
2θ 18.83, I = 76
2θ 23.66, I = 78
2θ 26.99, I = 100
2θ 27.52, I = 72
2θ 28.22, I = 41
2θ 31.96, I = 53
2θ 32.40, I = 45
2θ 32.60, I = 31

Structure:
Unit cell a=6.973 b=6.973 c=9.441 alpha=91.81 beta=91.81 gamma=108.49
Fractional coordinates of all 34 atoms:
V (0.111, 0.889, 0.750)
V (0.889, 0.111, 0.250)
P (0.209, 0.274, 0.529)
P (0.274, 0.209, 0.029)
P (0.280, 0.634, 0.967)
P (0.366, 0.720, 0.533)
P (0.634, 0.280, 0.467)
P (0.720, 0.366, 0.033)
P (0.726, 0.791, 0.971)
P (0.791, 0.726, 0.471)
O (0.057, 0.271, 0.410)
O (0.132, 0.133, 0.648)
O (0.133, 0.132, 0.148)
O (0.135, 0.662, 0.848)
O (0.224, 0.390, 0.956)
O (0.271, 0.057, 0.910)
O (0.276, 0.717, 0.391)
O (0.283, 0.724, 0.109)
O (0.300, 0.494, 0.601)
O (0.338, 0.865, 0.652)
O (0.390, 0.224, 0.456)
O (0.494, 0.300, 0.101)
O (0.506, 0.700, 0.899)
O (0.610, 0.776, 0.544)
O (0.662, 0.135, 0.348)
O (0.700, 0.506, 0.399)
O (0.717, 0.276, 0.891)
O (0.724, 0.283, 0.609)
O (0.729, 0.943, 0.090)
O (0.776, 0.610, 0.044)
O (0.865, 0.338, 0.152)
O (0.867, 0.868, 0.852)
O (0.868, 0.867, 0.352)
O (0.943, 0.729, 0.590)

***

Simulated XRD peak list of KMo3P2O14 for Cu Kα, 1.54184 Å, from DFT lattice parameters and positions (GGA+U).
No peak broadening, texture or thermal motion is included.

Main lines, sorted by position (10° ≤ 2θ ≤ 90°):
2θ 10.59, I = 41
2θ 16.21, I = 30
2θ 21.08, I = 28
2θ 21.27, I = 35
2θ 22.29, I = 18
2θ 24.16, I = 49
2θ 25.34, I = 18
2θ 26.50, I = 37
2θ 27.41, I = 100
2θ 32.11, I = 16

Structure:
Unit cell a=8.954 b=6.508 c=10.816 alpha=90.00 beta=111.11 gamma=90.00
Fractional coordinates of all 40 atoms:
K (0.011, 0.250, 0.248)
K (0.989, 0.750, 0.752)
Mo (0.260, 0.750, 0.174)
Mo (0.273, 0.750, 0.495)
Mo (0.340, 0.250, 0.878)
Mo (0.660, 0.750, 0.122)
Mo (0.727, 0.250, 0.505)
Mo (0.740, 0.250, 0.826)
P (0.355, 0.250, 0.565)
P (0.389, 0.250, 0.199)
P (0.611, 0.750, 0.801)
P (0.645, 0.750, 0.435)
O (0.095, 0.750, 0.031)
O (0.118, 0.750, 0.552)
O (0.157, 0.750, 0.299)
O (0.225, 0.035, 0.870)
O (0.225, 0.465, 0.870)
O (0.280, 0.061, 0.191)
O (0.280, 0.439, 0.191)
O (0.286, 0.061, 0.476)
O (0.286, 0.439, 0.476)
O (0.294, 0.250, 0.681)
O (0.434, 0.750, 0.115)
O (0.447, 0.250, 0.080)
O (0.460, 0.750, 0.386)
O (0.465, 0.750, 0.672)
O (0.535, 0.250, 0.328)
O (0.540, 0.250, 0.614)
O (0.553, 0.750, 0.920)
O (0.566, 0.250, 0.885)
O (0.706, 0.750, 0.319)
O (0.714, 0.561, 0.524)
O (0.714, 0.939, 0.524)
O (0.720, 0.561, 0.809)
O (0.720, 0.939, 0.809)
O (0.775, 0.535, 0.130)
O (0.775, 0.965, 0.130)
O (0.843, 0.250, 0.701)
O (0.882, 0.250, 0.448)
O (0.905, 0.250, 0.969)

***

Simulated XRD peak list of Rb7DyFe6P8O34 for Cu Kα, 1.54184 Å, from DFT lattice parameters and positions (GGA+U).
No peak broadening, texture or thermal motion is included.

Main lines, sorted by position (10° ≤ 2θ ≤ 90°):
2θ 24.81, I = 41
2θ 26.43, I = 67
2θ 27.59, I = 32
2θ 27.71, I = 70
2θ 28.38, I = 66
2θ 28.94, I = 53
2θ 29.32, I = 100
2θ 29.50, I = 60
2θ 30.31, I = 40
2θ 30.93, I = 45

Structure:
Unit cell a=9.408 b=10.010 c=10.150 alpha=91.97 beta=94.12 gamma=116.24
Fractional coordinates of all 56 atoms:
Rb (0.000, 0.000, 0.000)
Rb (0.126, 0.974, 0.377)
Rb (0.177, 0.439, 0.906)
Rb (0.427, 0.791, 0.658)
Rb (0.573, 0.209, 0.342)
Rb (0.823, 0.561, 0.094)
Rb (0.874, 0.026, 0.623)
Dy (0.000, 0.500, 0.500)
Fe (0.335, 0.094, 0.754)
Fe (0.344, 0.892, 0.034)
Fe (0.345, 0.423, 0.277)
Fe (0.655, 0.577, 0.723)
Fe (0.656, 0.108, 0.966)
Fe (0.665, 0.906, 0.246)
P (0.058, 0.756, 0.781)
P (0.285, 0.334, 0.572)
P (0.306, 0.734, 0.308)
P (0.410, 0.231, 0.038)
P (0.590, 0.769, 0.962)
P (0.694, 0.266, 0.692)
P (0.715, 0.666, 0.428)
P (0.942, 0.244, 0.219)
O (0.076, 0.627, 0.708)
O (0.118, 0.272, 0.220)
O (0.125, 0.780, 0.929)
O (0.147, 0.903, 0.708)
O (0.155, 0.388, 0.556)
O (0.205, 0.706, 0.427)
O (0.216, 0.177, 0.628)
O (0.241, 0.803, 0.199)
O (0.294, 0.584, 0.248)
O (0.318, 0.219, 0.900)
O (0.319, 0.084, 0.107)
O (0.338, 0.312, 0.433)
O (0.410, 0.365, 0.119)
O (0.413, 0.733, 0.971)
O (0.426, 0.446, 0.666)
O (0.432, 0.006, 0.877)
O (0.483, 0.843, 0.358)
O (0.517, 0.157, 0.642)
O (0.568, 0.994, 0.123)
O (0.574, 0.554, 0.334)
O (0.587, 0.267, 0.029)
O (0.590, 0.635, 0.881)
O (0.662, 0.688, 0.567)
O (0.681, 0.916, 0.893)
O (0.682, 0.781, 0.100)
O (0.706, 0.416, 0.752)
O (0.759, 0.197, 0.801)
O (0.784, 0.823, 0.372)
O (0.795, 0.294, 0.573)
O (0.845, 0.612, 0.444)
O (0.853, 0.097, 0.292)
O (0.875, 0.220, 0.071)
O (0.882, 0.728, 0.780)
O (0.924, 0.373, 0.292)

***

Simulated XRD peak list of FeCuPO5 for Cu Kα, 1.54184 Å, from DFT lattice parameters and positions (GGA+U).
No peak broadening, texture or thermal motion is included.

Main lines, sorted by position (10° ≤ 2θ ≤ 90°):
2θ 16.86, I = 48
2θ 18.40, I = 23
2θ 26.28, I = 84
2θ 32.45, I = 100
2θ 34.10, I = 38
2θ 36.26, I = 32
2θ 37.27, I = 42
2θ 39.22, I = 34
2θ 54.09, I = 24
2θ 59.98, I = 31

Structure:
Unit cell a=7.684 b=6.482 c=7.214 alpha=90.00 beta=90.00 gamma=90.00
Fractional coordinates of all 32 atoms:
Fe (0.168, 0.250, 0.216)
Fe (0.332, 0.750, 0.716)
Fe (0.668, 0.250, 0.284)
Fe (0.832, 0.750, 0.784)
Cu (0.000, 0.000, 0.500)
Cu (0.000, 0.500, 0.500)
Cu (0.500, 0.000, 0.000)
Cu (0.500, 0.500, 0.000)
P (0.110, 0.750, 0.130)
P (0.390, 0.250, 0.630)
P (0.610, 0.750, 0.370)
P (0.890, 0.250, 0.870)
O (0.065, 0.250, 0.971)
O (0.083, 0.750, 0.631)
O (0.126, 0.557, 0.259)
O (0.126, 0.943, 0.259)
O (0.234, 0.250, 0.496)
O (0.266, 0.750, 0.996)
O (0.374, 0.057, 0.759)
O (0.374, 0.443, 0.759)
O (0.417, 0.250, 0.131)
O (0.435, 0.750, 0.471)
O (0.565, 0.250, 0.529)
O (0.583, 0.750, 0.869)
O (0.626, 0.557, 0.241)
O (0.626, 0.943, 0.241)
O (0.734, 0.250, 0.004)
O (0.766, 0.750, 0.504)
O (0.874, 0.057, 0.741)
O (0.874, 0.443, 0.741)
O (0.917, 0.250, 0.369)
O (0.935, 0.750, 0.029)

***

Simulated XRD peak list of Na6V2B4SO16 for Cu Kα, 1.54184 Å, from DFT lattice parameters and positions (GGA+U).
No peak broadening, texture or thermal motion is included.

Main lines, sorted by position (10° ≤ 2θ ≤ 90°):
2θ 10.91, I = 33
2θ 20.97, I = 100
2θ 21.91, I = 17
2θ 33.13, I = 85
2θ 36.16, I = 57
2θ 46.14, I = 26
2θ 52.07, I = 17
2θ 56.74, I = 25
2θ 57.15, I = 15
2θ 69.16, I = 15

Structure:
Unit cell a=9.935 b=9.935 c=9.935 alpha=60.00 beta=60.00 gamma=60.00
Fractional coordinates of all 58 atoms:
Na (0.094, 0.094, 0.656)
Na (0.094, 0.656, 0.094)
Na (0.094, 0.656, 0.656)
Na (0.344, 0.344, 0.906)
Na (0.344, 0.906, 0.344)
Na (0.344, 0.906, 0.906)
Na (0.656, 0.094, 0.094)
Na (0.656, 0.094, 0.656)
Na (0.656, 0.656, 0.094)
Na (0.906, 0.344, 0.344)
Na (0.906, 0.344, 0.906)
Na (0.906, 0.906, 0.344)
V (0.000, 0.500, 0.500)
V (0.500, 0.000, 0.500)
V (0.500, 0.500, 0.000)
V (0.500, 0.500, 0.500)
B (0.288, 0.288, 0.288)
B (0.288, 0.288, 0.637)
B (0.288, 0.637, 0.288)
B (0.363, 0.712, 0.712)
B (0.637, 0.288, 0.288)
B (0.712, 0.363, 0.712)
B (0.712, 0.712, 0.363)
B (0.712, 0.712, 0.712)
S (0.125, 0.125, 0.125)
S (0.875, 0.875, 0.875)
O (0.063, 0.063, 0.063)
O (0.063, 0.063, 0.310)
O (0.063, 0.310, 0.063)
O (0.132, 0.323, 0.403)
O (0.132, 0.403, 0.642)
O (0.132, 0.642, 0.323)
O (0.310, 0.063, 0.063)
O (0.323, 0.132, 0.642)
O (0.323, 0.403, 0.132)
O (0.323, 0.642, 0.403)
O (0.358, 0.597, 0.677)
O (0.358, 0.677, 0.868)
O (0.358, 0.868, 0.597)
O (0.403, 0.132, 0.323)
O (0.403, 0.323, 0.642)
O (0.403, 0.642, 0.132)
O (0.597, 0.358, 0.868)
O (0.597, 0.677, 0.358)
O (0.597, 0.868, 0.677)
O (0.642, 0.132, 0.403)
O (0.642, 0.323, 0.132)
O (0.642, 0.403, 0.323)
O (0.677, 0.358, 0.597)
O (0.677, 0.597, 0.868)
O (0.677, 0.868, 0.358)
O (0.690, 0.937, 0.937)
O (0.868, 0.358, 0.677)
O (0.868, 0.597, 0.358)
O (0.868, 0.677, 0.597)
O (0.937, 0.690, 0.937)
O (0.937, 0.937, 0.690)
O (0.937, 0.937, 0.937)